Diffraction record for Pu2B7Rh12. The PXRD pattern is calculated, not measured: it uses a structure optimized by DFT (GGA-PBE) and Cu Kα.
No peak broadening, texture or thermal motion is included.

Peak list (6 most intense, 2θ from 10° to 90°, most intense first)
h k l, 2theta, I (rel.)
1 2 1, 38.64, 100.0
1 2 0, 30.45, 24.9
4 1 0, 54.12, 14.3
0 0 2, 47.47, 14.0
0 1 1, 25.93, 12.7
3 -1 3, 82.35, 11.2

Atomic structure:
```
data_Pu2B7Rh12
_chemical_formula_sum 'Pu2 B7 Rh12'
_cell_length_a 8.967
_cell_length_b 8.967
_cell_length_c 3.831
_cell_angle_alpha 90.00
_cell_angle_beta 90.00
_cell_angle_gamma 120.00
_space_group_name_H-M_alt 'P 1'
_space_group_IT_number 1
loop_
_space_group_symop_operation_xyz
'x,y,z'
loop_
_atom_site_label
_atom_site_type_symbol
_atom_site_fract_x
_atom_site_fract_y
_atom_site_fract_z
_atom_site_occupancy
Pu1 Pu 0.333 0.667 0.248 1
Pu2 Pu 0.667 0.333 0.752 1
B1 B 0.000 0.000 0.000 1
B2 B 0.106 0.397 0.747 1
B3 B 0.292 0.894 0.747 1
B4 B 0.397 0.292 0.253 1
B5 B 0.603 0.708 0.747 1
B6 B 0.708 0.106 0.253 1
B7 B 0.894 0.603 0.253 1
Rh1 Rh 0.068 0.621 0.749 1
Rh2 Rh 0.105 0.855 0.246 1
Rh3 Rh 0.145 0.250 0.246 1
Rh4 Rh 0.250 0.105 0.754 1
Rh5 Rh 0.379 0.447 0.749 1
Rh6 Rh 0.447 0.068 0.251 1
Rh7 Rh 0.553 0.932 0.749 1
Rh8 Rh 0.621 0.553 0.251 1
Rh9 Rh 0.750 0.895 0.246 1
Rh10 Rh 0.855 0.750 0.754 1
Rh11 Rh 0.895 0.145 0.754 1
Rh12 Rh 0.932 0.379 0.251 1
```


Diffraction record for Pu2ZnB2Rh5. The PXRD pattern is calculated, not measured: it uses a structure optimized by DFT (GGA-PBE) and Cu Kα.
No peak broadening, texture or thermal motion is included.

Peak list (6 most intense, 2θ from 10° to 90°, most intense first)
h k l, 2theta, I (rel.)
4 1 0, 38.77, 100.0
2 1 1, 35.08, 87.3
3 1 1, 41.10, 64.0
4 1 2, 71.80, 30.0
2 1 0, 20.73, 28.0
5 4 1, 69.39, 23.7

Atomic structure:
```
data_Pu2ZnB2Rh5
_chemical_formula_sum 'Pu4 Zn2 B4 Rh10'
_cell_length_a 9.579
_cell_length_b 9.579
_cell_length_c 3.189
_cell_angle_alpha 90.00
_cell_angle_beta 90.00
_cell_angle_gamma 90.00
_space_group_name_H-M_alt 'P 1'
_space_group_IT_number 1
loop_
_space_group_symop_operation_xyz
'x,y,z'
loop_
_atom_site_label
_atom_site_type_symbol
_atom_site_fract_x
_atom_site_fract_y
_atom_site_fract_z
_atom_site_occupancy
Pu1 Pu 0.177 0.323 0.000 1
Pu2 Pu 0.323 0.823 0.000 1
Pu3 Pu 0.677 0.177 0.000 1
Pu4 Pu 0.823 0.677 0.000 1
Zn1 Zn 0.000 0.000 0.000 1
Zn2 Zn 0.500 0.500 0.000 1
B1 B 0.123 0.623 0.000 1
B2 B 0.377 0.123 0.000 1
B3 B 0.623 0.877 0.000 1
B4 B 0.877 0.377 0.000 1
Rh1 Rh 0.000 0.500 0.500 1
Rh2 Rh 0.069 0.779 0.500 1
Rh3 Rh 0.221 0.069 0.500 1
Rh4 Rh 0.279 0.569 0.500 1
Rh5 Rh 0.431 0.279 0.500 1
Rh6 Rh 0.500 0.000 0.500 1
Rh7 Rh 0.569 0.721 0.500 1
Rh8 Rh 0.721 0.431 0.500 1
Rh9 Rh 0.779 0.931 0.500 1
Rh10 Rh 0.931 0.221 0.500 1
```